# ReSnNO
Computed powder XRD pattern, a wavelength of 1.5418 Å. Input: a structure optimized by DFT (PBE).
Lines closer than 0.1° are merged.

Principal peaks in the range 15 to 90 degrees two-theta, most intense first:
2θ = 32.58°, intensity 100, (1 2 1); 2θ = 26.13°, intensity 61, (2 0 0); 2θ = 36.54°, intensity 42, (0 0 2); 2θ = 42.32°, intensity 34, (1 3 1); 2θ = 45.47°, intensity 31, (2 0 2); 2θ = 31.94°, intensity 31, (2 0 1); 2θ = 35.51°, intensity 23, (0 3 0); 2θ = 65.88°, intensity 21, (1 5 1); 2θ = 57.18°, intensity 19, (4 0 1); 2θ = 51.85°, intensity 18, (0 3 2)

Crystal structure
Unit cell a=6.8201 b=7.5844 c=4.9185 alpha=90.00 beta=90.00 gamma=90.00
Fractional coordinates of all 16 atoms:
1 Re 0.0398 0.0590 0.0000
2 Re 0.4602 0.0590 0.5000
3 Re 0.5398 0.9410 0.0000
4 Re 0.9602 0.9410 0.5000
5 Sn 0.0636 0.6762 0.9631
6 Sn 0.4364 0.6762 0.4631
7 Sn 0.5636 0.3238 0.9631
8 Sn 0.9364 0.3238 0.4631
9 N 0.1980 0.0562 0.6630
10 N 0.3020 0.0562 0.1630
11 N 0.6980 0.9438 0.6630
12 N 0.8020 0.9438 0.1630
13 O 0.1113 0.7144 0.4705
14 O 0.3887 0.7144 0.9705
15 O 0.6113 0.2856 0.4705
16 O 0.8887 0.2856 0.9705